# 1
Simulated PXRD pattern
Compound: RbPmIn2Cl6
Radiation: Cu Kα
Structure: the PBE geometry in Alexandria
Kinematic intensities with the Lorentz-polarization factor, no thermal factor.

Structural model:
Cell: 7.9309 7.9358 8.1737 Å, 61.00 60.99 60.04°
Atoms (fractional coordinates):
Rb1 0.0000 0.0000 0.0000
Pm1 0.4898 0.4899 0.5303
In1 0.2867 0.2877 0.1389
In2 0.7916 0.7916 0.6252
Cl1 0.1365 0.4000 0.7961
Cl2 0.2423 0.8267 0.3267
Cl3 0.3997 0.6670 0.7965
Cl4 0.6044 0.2425 0.3264
Cl5 0.6667 0.1371 0.7965
Cl6 0.8268 0.6044 0.3270

Peak list (12 most intense, 2θ from 15° to 90°, in order of rising 2θ)
5.692 Å, 15.57 deg, intensity 48.6; 4.084 Å, 21.76 deg, intensity 99.3; 3.967 Å, 22.41 deg, intensity 100.0; 3.423 Å, 26.03 deg, intensity 30.8; 2.846 Å, 31.44 deg, intensity 60.8; 2.575 Å, 34.83 deg, intensity 93.3; 2.312 Å, 38.95 deg, intensity 59.0; 2.291 Å, 39.33 deg, intensity 57.7; 1.948 Å, 46.62 deg, intensity 22.9; 1.784 Å, 51.19 deg, intensity 19.5; 1.712 Å, 53.54 deg, intensity 23.8; 1.600 Å, 57.60 deg, intensity 21.3

# 2
Simulated PXRD pattern
Compound: CuHg2SbTe4
Radiation: Cu Kα
Structure: the PBE geometry in Alexandria
Kinematic intensities with the Lorentz-polarization factor, no thermal factor.

Structural model:
Cell: 7.9940 7.9940 7.9940 Å, 131.14 131.14 71.58°
Atoms (fractional coordinates):
Cu1 0.0000 0.0000 0.0000
Hg1 0.2500 0.7500 0.5000
Hg2 0.7500 0.2500 0.5000
Sb1 0.5000 0.5000 0.0000
Te1 0.1025 0.6581 0.0000
Te2 0.3419 0.3419 0.4443
Te3 0.6581 0.1025 0.0000
Te4 0.8975 0.8975 0.5557

Peak list (12 most intense, 2θ from 15° to 90°, in order of rising 2θ)
3.792 Å, 23.46 deg, intensity 100.0; 2.945 Å, 30.35 deg, intensity 5.2; 2.338 Å, 38.51 deg, intensity 25.2; 2.315 Å, 38.91 deg, intensity 51.4; 1.990 Å, 45.59 deg, intensity 31.0; 1.962 Å, 46.27 deg, intensity 16.4; 1.653 Å, 55.60 deg, intensity 7.7; 1.515 Å, 61.16 deg, intensity 6.1; 1.503 Å, 61.72 deg, intensity 14.3; 1.345 Å, 69.93 deg, intensity 14.6; 1.332 Å, 70.72 deg, intensity 8.1; 1.272 Å, 74.65 deg, intensity 6.2

# 3
Simulated PXRD pattern
Compound: Ho3Cd2Pd6
Radiation: Cu Kα
Structure: the PBE geometry in Alexandria
Kinematic intensities with the Lorentz-polarization factor, no thermal factor.

Structural model:
Cell: 8.3944 8.3944 8.3944 Å, 109.47 109.47 109.47°
Atoms (fractional coordinates):
Ho1 0.0000 0.3039 0.3039
Ho2 0.0000 0.6961 0.6961
Ho3 0.3039 0.0000 0.3039
Ho4 0.3039 0.3039 0.0000
Ho5 0.6961 0.0000 0.6961
Ho6 0.6961 0.6961 0.0000
Cd1 0.0000 0.0000 0.5000
Cd2 0.0000 0.5000 0.0000
Cd3 0.5000 0.0000 0.0000
Cd4 0.5000 0.5000 0.5000
Pd1 0.0000 0.3454 0.6546
Pd2 0.0000 0.6546 0.3454
Pd3 0.3093 0.6546 0.6546
Pd4 0.3454 0.0000 0.6546
Pd5 0.3454 0.3454 0.6907
Pd6 0.3454 0.6546 0.0000
Pd7 0.3454 0.6907 0.3454
Pd8 0.6546 0.0000 0.3454
Pd9 0.6546 0.3093 0.6546
Pd10 0.6546 0.3454 0.0000
Pd11 0.6546 0.6546 0.3093
Pd12 0.6907 0.3454 0.3454

Peak list (12 most intense, 2θ from 15° to 90°, in order of rising 2θ)
3.065 Å, 29.13 deg, intensity 17.6; 2.798 Å, 31.98 deg, intensity 27.0; 2.591 Å, 34.63 deg, intensity 18.0; 2.423 Å, 37.10 deg, intensity 11.8; 2.285 Å, 39.44 deg, intensity 100.0; 2.167 Å, 41.67 deg, intensity 16.3; 1.770 Å, 51.65 deg, intensity 11.2; 1.616 Å, 57.01 deg, intensity 8.7; 1.461 Å, 63.68 deg, intensity 10.8; 1.319 Å, 71.53 deg, intensity 31.1; 1.193 Å, 80.50 deg, intensity 9.6; 1.142 Å, 84.89 deg, intensity 11.4

# 4
Simulated PXRD pattern
Compound: Sm12Er5Th
Radiation: Cu Kα
Structure: the PBE geometry in Alexandria
Kinematic intensities with the Lorentz-polarization factor, no thermal factor.

Structural model:
Cell: 10.7782 10.7782 5.0851 Å, 90.00 90.00 90.10°
Atoms (fractional coordinates):
Sm1 0.0018 0.3305 0.5000
Sm2 0.1641 0.8359 0.0000
Sm3 0.1687 0.4992 0.0000
Sm4 0.3305 0.0018 0.5000
Sm5 0.3360 0.6640 0.5000
Sm6 0.4992 0.1687 0.0000
Sm7 0.5008 0.8313 0.0000
Sm8 0.6640 0.3360 0.5000
Sm9 0.6695 0.9982 0.5000
Sm10 0.8313 0.5008 0.0000
Sm11 0.8359 0.1641 0.0000
Sm12 0.9982 0.6695 0.5000
Er1 0.0000 0.0000 0.5000
Er2 0.1671 0.1671 0.0000
Er3 0.3357 0.3357 0.5000
Er4 0.6643 0.6643 0.5000
Er5 0.8329 0.8329 0.0000
Th1 0.5000 0.5000 0.0000

Peak list (10 most intense, 2θ from 15° to 90°, in order of rising 2θ)
2.934 Å, 30.46 deg, intensity 100.0; 2.541 Å, 35.32 deg, intensity 50.7; 1.797 Å, 50.81 deg, intensity 36.2; 1.532 Å, 60.41 deg, intensity 43.0; 1.467 Å, 63.40 deg, intensity 12.4; 1.271 Å, 74.66 deg, intensity 3.8; 1.269 Å, 74.81 deg, intensity 1.9; 1.166 Å, 82.78 deg, intensity 17.7; 1.137 Å, 85.39 deg, intensity 11.0; 1.136 Å, 85.52 deg, intensity 5.5